Diffraction record for LiV2F7. The powder diffractogram is computed, not measured: it uses the PBE+U geometry in Alexandria and CuKα.
Neutral-atom scattering factors, no anomalous dispersion.

Structure:
Unit cell a=5.594 b=5.207 c=10.267 alpha=90.00 beta=102.70 gamma=90.00
Space group P2/c (No. 13)
Unique sites:
Li 0.000 0.019 0.250 x2
V 0.426 0.251 0.571 x4
F 0.161 0.092 0.622 x4
F 0.281 0.443 0.975 x4
F 0.346 0.047 0.391 x4
F 0.500 0.419 0.750 x2

Peak list (10 most intense, 10 to 90 degrees two-theta, in order of rising 2θ)
- 16.2°, intensity 100
- 17.7°, intensity 46
- 19.2°, intensity 40
- 23.9°, intensity 43
- 31.8°, intensity 30
- 36.5°, intensity 15
- 38.1°, intensity 17
- 40.0°, intensity 18
- 54.6°, intensity 18
- 60.8°, intensity 14